# 1
Diffraction record for CeTh2Ga6. The X-ray powder pattern is theoretical, not measured: it uses the GGA-PBE geometry in Alexandria and CuKα.

Peak list (10 most intense, 2θ from 10° to 90°, by angle)
two_theta, d_spacing, intensity
24.04, 3.702, 21
32.09, 2.790, 100
42.29, 2.137, 38
42.61, 2.122, 12
49.52, 1.841, 6
54.05, 1.697, 23
61.59, 1.506, 25
70.93, 1.329, 21
71.39, 1.321, 10
77.33, 1.234, 6

Structural model:
```
data_CeTh2Ga6
_chemical_formula_sum 'Ce1 Th2 Ga6'
_cell_length_a 7.4034
_cell_length_b 7.4034
_cell_length_c 4.2436
_cell_angle_alpha 90.00
_cell_angle_beta 90.00
_cell_angle_gamma 120.00
_symmetry_space_group_name_H-M 'P 6/m m m'
_symmetry_Int_Tables_number 191
_symmetry_space_group_name_Hall '-P 6 2'
loop_
_atom_site_label
_atom_site_type_symbol
_atom_site_fract_x
_atom_site_fract_y
_atom_site_fract_z
_atom_site_occupancy
Ce1 Ce 0.0000 0.0000 0.0000 1
Th1 Th 0.3333 0.6667 0.0000 1
Ga1 Ga 0.0000 0.3327 0.5000 1
```

***

# 2
Diffraction record for Ce2Th2ZnGa4. The X-ray powder pattern is theoretical, not measured: it uses the GGA-PBE geometry in Alexandria and CuKα.

Peak list (10 most intense, 2θ from 10° to 90°, by angle)
two_theta, d_spacing, intensity
25.74, 3.461, 30
26.90, 3.315, 20
32.49, 2.756, 14
32.63, 2.745, 100
36.73, 2.447, 56
40.02, 2.253, 13
41.91, 2.156, 13
52.91, 1.730, 20
55.43, 1.658, 21
63.55, 1.464, 34

Structural model:
```
data_Ce2Th2ZnGa4
_chemical_formula_sum 'Ce4 Th4 Zn2 Ga8'
_cell_length_a 6.9215
_cell_length_b 6.9215
_cell_length_c 9.0120
_cell_angle_alpha 90.00
_cell_angle_beta 90.00
_cell_angle_gamma 90.00
_symmetry_space_group_name_H-M 'I 4/m m m'
_symmetry_Int_Tables_number 139
_symmetry_space_group_name_Hall '-I 4 2'
loop_
_atom_site_label
_atom_site_type_symbol
_atom_site_fract_x
_atom_site_fract_y
_atom_site_fract_z
_atom_site_occupancy
Ce1 Ce 0.0000 0.0000 0.1923 1
Th1 Th 0.0000 0.5000 0.2500 1
Zn1 Zn 0.0000 0.0000 0.5000 1
Ga1 Ga 0.2458 0.2458 0.5000 1
```

***

# 3
Diffraction record for Ce7Tl2Ga2. The X-ray powder pattern is theoretical, not measured: it uses the GGA-PBE geometry in Alexandria and CuKα.

Peak list (10 most intense, 2θ from 10° to 90°, by angle)
two_theta, d_spacing, intensity
25.21, 3.533, 93
26.67, 3.343, 45
28.81, 3.098, 61
29.85, 2.993, 34
30.89, 2.895, 100
33.74, 2.657, 25
36.36, 2.471, 43
37.21, 2.416, 93
40.28, 2.239, 51
41.77, 2.162, 45

Structural model:
```
data_Ce7Tl2Ga2
_chemical_formula_sum 'Ce14 Tl4 Ga4'
_cell_length_a 8.1875
_cell_length_b 11.5787
_cell_length_c 6.9936
_cell_angle_alpha 90.00
_cell_angle_beta 90.00
_cell_angle_gamma 90.00
_symmetry_space_group_name_H-M 'C m m m'
_symmetry_Int_Tables_number 65
_symmetry_space_group_name_Hall '-C 2 2'
loop_
_atom_site_label
_atom_site_type_symbol
_atom_site_fract_x
_atom_site_fract_y
_atom_site_fract_z
_atom_site_occupancy
Ce1 Ce 0.0000 0.0000 0.0000 1
Ce2 Ce 0.0000 0.5000 0.2090 1
Ce3 Ce 0.2500 0.2500 0.3035 1
Tl1 Tl 0.1783 0.0000 0.5000 1
Ga1 Ga 0.0000 0.2709 0.0000 1
```

***

# 4
Diffraction record for Ce5TlGa3. The X-ray powder pattern is theoretical, not measured: it uses the GGA-PBE geometry in Alexandria and CuKα.

Peak list (10 most intense, 2θ from 10° to 90°, by angle)
two_theta, d_spacing, intensity
23.93, 3.719, 11
33.94, 2.641, 95
34.25, 2.618, 100
48.99, 1.859, 35
60.74, 1.525, 15
60.94, 1.520, 34
68.70, 1.366, 24
71.44, 1.321, 9
81.66, 1.179, 14
88.72, 1.103, 11

Structural model:
```
data_Ce5TlGa3
_chemical_formula_sum 'Ce10 Tl2 Ga6'
_cell_length_a 9.1489
_cell_length_b 9.1489
_cell_length_c 6.3859
_cell_angle_alpha 90.00
_cell_angle_beta 90.00
_cell_angle_gamma 120.00
_symmetry_space_group_name_H-M 'P 63/m c m'
_symmetry_Int_Tables_number 193
_symmetry_space_group_name_Hall '-P 6c 2'
loop_
_atom_site_label
_atom_site_type_symbol
_atom_site_fract_x
_atom_site_fract_y
_atom_site_fract_z
_atom_site_occupancy
Ce1 Ce 0.0000 0.3118 0.2500 1
Ce2 Ce 0.3333 0.6667 0.0000 1
Tl1 Tl 0.0000 0.0000 0.0000 1
Ga1 Ga 0.0000 0.3567 0.7500 1
```